1.
Simulated X-ray powder pattern of YC4O8 for Cu Kα, 1.54184 Å, from DFT lattice parameters and positions (PBE).
Intensities are scaled so that the largest is 100.

Peak list (8 most intense, 2θ = 10–90°, low angle first)
2θ = 14.57°, d 6.081, I = 100; 2θ = 22.16°, d 4.012, I = 30; 2θ = 26.62°, d 3.349, I = 30; 2θ = 29.38°, d 3.041, I = 27; 2θ = 37.10°, d 2.423, I = 19; 2θ = 39.75°, d 2.268, I = 19; 2θ = 44.71°, d 2.027, I = 12; 2θ = 47.75°, d 1.905, I = 20

Crystal structure
```
data_YC4O8
_space_group_name_H-M_alt 'P 4/n'
_space_group_IT_number 85
_cell_length_a 8.600
_cell_length_b 8.600
_cell_length_c 5.338
_cell_angle_alpha 90.00
_cell_angle_beta 90.00
_cell_angle_gamma 90.00
loop_
_space_group_symop_operation_xyz
'x,y,z'
'-x,-y,-z'
'-y+1/2,x,z'
'y+1/2,-x,-z'
'-x+1/2,-y+1/2,z'
'x+1/2,y+1/2,-z'
'y,-x+1/2,z'
'-y,x+1/2,-z'
loop_
_atom_site_label
_atom_site_fract_x
_atom_site_fract_y
_atom_site_fract_z
Y1 0.250 0.750 0.000
C1 0.012 0.513 0.347
O1 0.066 0.927 0.208
O2 0.109 0.884 0.705
```


2.
Simulated X-ray powder pattern of YCO4 for Cu Kα, 1.54184 Å, from DFT lattice parameters and positions (PBE).
Intensities are scaled so that the largest is 100.

Peak list (8 most intense, 2θ = 10–90°, low angle first)
2θ = 15.68°, d 5.651, I = 94; 2θ = 19.74°, d 4.498, I = 65; 2θ = 20.89°, d 4.253, I = 100; 2θ = 24.25°, d 3.670, I = 63; 2θ = 26.47°, d 3.368, I = 46; 2θ = 30.81°, d 2.902, I = 49; 2θ = 37.42°, d 2.404, I = 49; 2θ = 46.28°, d 1.962, I = 59

Crystal structure
```
data_YCO4
_space_group_name_H-M_alt 'P 21 21 21'
_space_group_IT_number 19
_space_group_name_Hall 'P 2ac 2ab'
_cell_length_a 4.826
_cell_length_b 7.263
_cell_length_c 8.996
_cell_angle_alpha 90.00
_cell_angle_beta 90.00
_cell_angle_gamma 90.00
loop_
_atom_site_label
_atom_site_fract_x
_atom_site_fract_y
_atom_site_fract_z
Y1 0.032 0.140 0.169
C1 0.018 0.039 0.840
O1 0.027 0.834 0.144
O2 0.046 0.432 0.768
O3 0.161 0.621 0.576
O4 0.218 0.935 0.369
```


3.
Simulated X-ray powder pattern of Zr3CO2 for Cu Kα, 1.54184 Å, from DFT lattice parameters and positions (PBE).
Intensities are scaled so that the largest is 100.

Peak list (8 most intense, 2θ = 10–90°, low angle first)
2θ = 32.94°, d 2.719, I = 27; 2θ = 33.27°, d 2.693, I = 27; 2θ = 33.48°, d 2.677, I = 54; 2θ = 38.63°, d 2.331, I = 100; 2θ = 55.33°, d 1.660, I = 10; 2θ = 55.54°, d 1.655, I = 21; 2θ = 55.98°, d 1.643, I = 22; 2θ = 66.60°, d 1.404, I = 11

Crystal structure
```
data_Zr3CO2
_space_group_name_H-M_alt 'P 1 21/c 1'
_space_group_IT_number 14
_space_group_name_Hall '-P 2ybc'
_cell_length_a 4.667
_cell_length_b 9.803
_cell_length_c 6.642
_cell_angle_alpha 90.00
_cell_angle_beta 90.59
_cell_angle_gamma 90.00
loop_
_atom_site_label
_atom_site_fract_x
_atom_site_fract_y
_atom_site_fract_z
Zr1 0.234 0.078 0.141
Zr2 0.241 0.745 0.129
Zr3 0.253 0.080 0.615
C1 0.249 0.587 0.871
O1 0.263 0.248 0.878
O2 0.270 0.579 0.382
```


4.
Simulated X-ray powder pattern of Zr6CO for Cu Kα, 1.54184 Å, from DFT lattice parameters and positions (PBE).
Intensities are scaled so that the largest is 100.

Peak list (8 most intense, 2θ = 10–90°, low angle first)
2θ = 31.37°, d 2.852, I = 19; 2θ = 33.66°, d 2.663, I = 24; 2θ = 35.72°, d 2.514, I = 100; 2θ = 46.67°, d 1.946, I = 18; 2θ = 55.84°, d 1.646, I = 19; 2θ = 61.54°, d 1.507, I = 20; 2θ = 66.81°, d 1.400, I = 18; 2θ = 68.08°, d 1.377, I = 14

Crystal structure
```
data_Zr6CO
_space_group_name_H-M_alt 'P -3 1 c'
_space_group_IT_number 163
_space_group_name_Hall '-P 3 2c'
_cell_length_a 5.7031
_cell_length_b 5.7031
_cell_length_c 10.6503
_cell_angle_alpha 90.00
_cell_angle_beta 90.00
_cell_angle_gamma 120.00
loop_
_atom_site_label
_atom_site_fract_x
_atom_site_fract_y
_atom_site_fract_z
Zr1 0.0132 0.3364 0.1244
C1 0.3333 0.6667 0.2500
O1 0.0000 0.0000 0.0000
```


5.
Simulated X-ray powder pattern of ZrCO for Cu Kα, 1.54184 Å, from DFT lattice parameters and positions (PBE).
Intensities are scaled so that the largest is 100.

Peak list (8 most intense, 2θ = 10–90°, low angle first)
2θ = 27.70°, d 3.221, I = 59; 2θ = 31.44°, d 2.846, I = 69; 2θ = 31.82°, d 2.812, I = 100; 2θ = 39.28°, d 2.294, I = 31; 2θ = 41.72°, d 2.165, I = 34; 2θ = 50.82°, d 1.797, I = 30; 2θ = 51.13°, d 1.786, I = 30; 2θ = 51.90°, d 1.762, I = 31

Crystal structure
```
data_ZrCO
_space_group_name_H-M_alt 'C 1 2/m 1'
_space_group_IT_number 12
_space_group_name_Hall '-C 2y'
_cell_length_a 4.589
_cell_length_b 4.330
_cell_length_c 6.443
_cell_angle_alpha 90.00
_cell_angle_beta 91.24
_cell_angle_gamma 90.00
loop_
_atom_site_label
_atom_site_fract_x
_atom_site_fract_y
_atom_site_fract_z
Zr1 0.216 0.000 0.268
C1 0.000 0.339 0.000
O1 0.247 0.500 0.379
```


6.
Simulated X-ray powder pattern of Zr4CO for Cu Kα, 1.54184 Å, from DFT lattice parameters and positions (PBE).
Intensities are scaled so that the largest is 100.

Peak list (8 most intense, 2θ = 10–90°, low angle first)
2θ = 31.10°, d 2.875, I = 22; 2θ = 33.71°, d 2.659, I = 46; 2θ = 35.46°, d 2.532, I = 100; 2θ = 35.56°, d 2.525, I = 83; 2θ = 35.76°, d 2.511, I = 27; 2θ = 55.54°, d 1.655, I = 27; 2θ = 61.32°, d 1.512, I = 22; 2θ = 66.31°, d 1.410, I = 25

Crystal structure
```
data_Zr4CO
_space_group_name_H-M_alt 'P 1 2/m 1'
_space_group_IT_number 10
_space_group_name_Hall '-P 2y'
_cell_length_a 5.318
_cell_length_b 3.326
_cell_length_c 5.723
_cell_angle_alpha 90.00
_cell_angle_beta 90.48
_cell_angle_gamma 90.00
loop_
_atom_site_label
_atom_site_fract_x
_atom_site_fract_y
_atom_site_fract_z
Zr1 0.247 0.000 0.177
Zr2 0.248 0.500 0.665
C1 0.000 0.000 0.500
O1 0.000 0.500 0.000
```


7.
Simulated X-ray powder pattern of Zr6C2O for Cu Kα, 1.54184 Å, from DFT lattice parameters and positions (PBE).
Intensities are scaled so that the largest is 100.

Peak list (8 most intense, 2θ = 10–90°, low angle first)
2θ = 31.22°, d 2.865, I = 11; 2θ = 33.47°, d 2.677, I = 23; 2θ = 35.57°, d 2.524, I = 100; 2θ = 46.45°, d 1.955, I = 19; 2θ = 55.70°, d 1.650, I = 13; 2θ = 61.20°, d 1.515, I = 19; 2θ = 66.56°, d 1.405, I = 12; 2θ = 67.71°, d 1.384, I = 9

Crystal structure
```
data_Zr6C2O
_space_group_name_H-M_alt 'P n n m'
_space_group_IT_number 58
_space_group_name_Hall '-P 2 2n'
_cell_length_a 5.355
_cell_length_b 5.710
_cell_length_c 9.936
_cell_angle_alpha 90.00
_cell_angle_beta 90.00
_cell_angle_gamma 90.00
loop_
_atom_site_label
_atom_site_fract_x
_atom_site_fract_y
_atom_site_fract_z
Zr1 0.235 0.166 0.000
Zr2 0.248 0.171 0.335
C1 0.000 0.000 0.168
O1 0.000 0.500 0.000
```


8.
Simulated X-ray powder pattern of Zr8C3O2 for Cu Kα, 1.54184 Å, from DFT lattice parameters and positions (PBE).
Intensities are scaled so that the largest is 100.

Peak list (8 most intense, 2θ = 10–90°, low angle first)
2θ = 31.27°, d 2.860, I = 18; 2θ = 33.27°, d 2.693, I = 43; 2θ = 35.39°, d 2.536, I = 100; 2θ = 35.67°, d 2.517, I = 63; 2θ = 35.90°, d 2.502, I = 31; 2θ = 46.52°, d 1.952, I = 16; 2θ = 55.79°, d 1.648, I = 26; 2θ = 60.66°, d 1.527, I = 15

Crystal structure
```
data_Zr8C3O2
_space_group_name_H-M_alt 'C 1 2/m 1'
_space_group_IT_number 12
_space_group_name_Hall '-C 2y'
_cell_length_a 10.773
_cell_length_b 6.613
_cell_length_c 5.703
_cell_angle_alpha 90.00
_cell_angle_beta 91.00
_cell_angle_gamma 90.00
loop_
_atom_site_label
_atom_site_fract_x
_atom_site_fract_y
_atom_site_fract_z
Zr1 0.119 0.000 0.168
Zr2 0.119 0.500 0.173
Zr3 0.124 0.256 0.674
C1 0.000 0.251 0.000
C2 0.000 0.500 0.500
O1 0.239 0.000 0.501
```